Diffraction record for Ge3Rh2. The powder XRD pattern is computed, not measured: it uses a structure optimized by DFT (PBE) and Cu Kα.
No peak broadening, texture or thermal motion is included.

Peak list (10 most intense, 10° ≤ 2θ ≤ 90°, in order of falling intensity)
two_theta  Rel. int.
43.4  100
33.6  74
52.7  50
19.9  34
87.8  23
26.7  23
70.5  23
56.7  16
36.0  15
29.7  14

Cell and atoms:
```
data_Ge3Rh2
_chemical_formula_sum 'Ge6 Rh4'
_cell_length_a 6.7527
_cell_length_b 6.7527
_cell_length_c 6.7527
_cell_angle_alpha 52.94
_cell_angle_beta 52.94
_cell_angle_gamma 52.94
_symmetry_space_group_name_H-M 'P 1'
_symmetry_Int_Tables_number 1
_symmetry_space_group_name_Hall 'P 1'
loop_
_atom_site_label
_atom_site_fract_x
_atom_site_fract_y
_atom_site_fract_z
_atom_site_occupancy
Ge1 0.0995 0.7500 0.4005 1
Ge2 0.2500 0.5995 0.9005 1
Ge3 0.4005 0.0995 0.7500 1
Ge4 0.5995 0.9005 0.2500 1
Ge5 0.7500 0.4005 0.0995 1
Ge6 0.9005 0.2500 0.5995 1
Rh1 0.1679 0.1679 0.1679 1
Rh2 0.3321 0.3321 0.3321 1
Rh3 0.6679 0.6679 0.6679 1
Rh4 0.8321 0.8321 0.8321 1
```

=====

Diffraction record for Pm6Ho3Tl. The powder XRD pattern is computed, not measured: it uses a structure optimized by DFT (PBE) and Cu Kα.
No peak broadening, texture or thermal motion is included.

Peak list (10 most intense, 10° ≤ 2θ ≤ 90°, in order of falling intensity)
two_theta  Rel. int.
31.6  100
30.7  70
31.4  44
30.0  41
33.5  36
33.8  29
33.3  27
29.1  25
50.5  23
60.8  20

Cell and atoms:
```
data_Pm6Ho3Tl
_chemical_formula_sum 'Pm12 Ho6 Tl2'
_cell_length_a 12.3747
_cell_length_b 3.6128
_cell_length_c 14.8166
_cell_angle_alpha 90.00
_cell_angle_beta 93.88
_cell_angle_gamma 90.00
_symmetry_space_group_name_H-M 'P 1'
_symmetry_Int_Tables_number 1
_symmetry_space_group_name_Hall 'P 1'
loop_
_atom_site_label
_atom_site_fract_x
_atom_site_fract_y
_atom_site_fract_z
_atom_site_occupancy
Pm1 0.0629 0.2500 0.3904 1
Pm2 0.1199 0.7500 0.9536 1
Pm3 0.2005 0.2500 0.7514 1
Pm4 0.2945 0.7500 0.3126 1
Pm5 0.3094 0.2500 0.1078 1
Pm6 0.3878 0.2500 0.4977 1
Pm7 0.6122 0.7500 0.5023 1
Pm8 0.6906 0.7500 0.8922 1
Pm9 0.7055 0.2500 0.6874 1
Pm10 0.7995 0.7500 0.2486 1
Pm11 0.8801 0.2500 0.0464 1
Pm12 0.9371 0.7500 0.6096 1
Ho1 0.0732 0.7500 0.1812 1
Ho2 0.3999 0.7500 0.9191 1
Ho3 0.4493 0.7500 0.6975 1
Ho4 0.5507 0.2500 0.3025 1
Ho5 0.6001 0.2500 0.0809 1
Ho6 0.9268 0.2500 0.8188 1
Tl1 0.1889 0.7500 0.5583 1
Tl2 0.8111 0.2500 0.4417 1
```

=====

Diffraction record for ZnH3F. The powder XRD pattern is computed, not measured: it uses a structure optimized by DFT (PBE) and Cu Kα.
No peak broadening, texture or thermal motion is included.

Peak list (10 most intense, 10° ≤ 2θ ≤ 90°, in order of falling intensity)
two_theta  Rel. int.
13.5  100
31.4  31
33.8  18
27.6  17
27.3  14
44.0  12
37.0  7
37.2  7
43.3  7
49.9  7

Cell and atoms:
```
data_ZnH3F
_chemical_formula_sum 'Zn1 H3 F1'
_cell_length_a 2.9157
_cell_length_b 3.3378
_cell_length_c 6.8903
_cell_angle_alpha 103.80
_cell_angle_beta 101.91
_cell_angle_gamma 90.46
_symmetry_space_group_name_H-M 'P 1'
_symmetry_Int_Tables_number 1
_symmetry_space_group_name_Hall 'P 1'
loop_
_atom_site_label
_atom_site_fract_x
_atom_site_fract_y
_atom_site_fract_z
_atom_site_occupancy
Zn1 0.0000 0.0000 0.0000 1
H1 0.4362 0.9357 0.8704 1
H2 0.6850 0.1566 0.5055 1
H3 0.8167 0.3496 0.5039 1
F1 0.0779 0.5788 0.1589 1
```

=====

Diffraction record for BeH. The powder XRD pattern is computed, not measured: it uses a structure optimized by DFT (PBE) and Cu Kα.
No peak broadening, texture or thermal motion is included.

Peak list (10 most intense, 10° ≤ 2θ ≤ 90°, in order of falling intensity)
two_theta  Rel. int.
14.6  100
36.4  15
35.2  14
54.2  10
43.4  7
56.2  5
45.4  5
57.9  4
47.1  4
86.2  3

Cell and atoms:
```
data_BeH
_chemical_formula_sum 'Be2 H2'
_cell_length_a 2.7586
_cell_length_b 2.0356
_cell_length_c 6.0817
_cell_angle_alpha 90.00
_cell_angle_beta 92.50
_cell_angle_gamma 90.00
_symmetry_space_group_name_H-M 'P 1'
_symmetry_Int_Tables_number 1
_symmetry_space_group_name_Hall 'P 1'
loop_
_atom_site_label
_atom_site_fract_x
_atom_site_fract_y
_atom_site_fract_z
_atom_site_occupancy
Be1 0.2368 0.2500 0.3710 1
Be2 0.7632 0.7500 0.6290 1
H1 0.2215 0.7500 0.2036 1
H2 0.7785 0.2500 0.7964 1
```

=====

Diffraction record for Mg14MoC. The powder XRD pattern is computed, not measured: it uses a structure optimized by DFT (PBE) and Cu Kα.
No peak broadening, texture or thermal motion is included.

Peak list (10 most intense, 10° ≤ 2θ ≤ 90°, in order of falling intensity)
two_theta  Rel. int.
35.8  100
35.6  53
17.7  37
14.7  27
36.7  24
33.4  21
37.4  20
42.5  20
20.4  19
40.1  18

Cell and atoms:
```
data_Mg14MoC
_chemical_formula_sum 'Mg14 Mo1 C1'
_cell_length_a 8.9961
_cell_length_b 6.2658
_cell_length_c 6.2658
_cell_angle_alpha 74.42
_cell_angle_beta 90.00
_cell_angle_gamma 90.00
_symmetry_space_group_name_H-M 'P 1'
_symmetry_Int_Tables_number 1
_symmetry_space_group_name_Hall 'P 1'
loop_
_atom_site_label
_atom_site_fract_x
_atom_site_fract_y
_atom_site_fract_z
_atom_site_occupancy
Mg1 0.0000 0.0000 0.0000 1
Mg2 0.0000 0.4500 0.4500 1
Mg3 0.0000 0.5247 0.9264 1
Mg4 0.0000 0.9264 0.5247 1
Mg5 0.2350 0.2157 0.2157 1
Mg6 0.2806 0.8358 0.8358 1
Mg7 0.3178 0.3521 0.7329 1
Mg8 0.3178 0.7329 0.3521 1
Mg9 0.5000 0.1027 0.4985 1
Mg10 0.5000 0.4985 0.1027 1
Mg11 0.6822 0.3521 0.7329 1
Mg12 0.6822 0.7329 0.3521 1
Mg13 0.7194 0.8358 0.8358 1
Mg14 0.7650 0.2157 0.2157 1
Mo1 0.5000 0.0360 0.0360 1
C1 0.5000 0.4814 0.4814 1
```

=====

Diffraction record for LiTiH6O2F6. The powder XRD pattern is computed, not measured: it uses a structure optimized by DFT (PBE) and Cu Kα.
No peak broadening, texture or thermal motion is included.

Peak list (10 most intense, 10° ≤ 2θ ≤ 90°, in order of falling intensity)
two_theta  Rel. int.
15.1  100
22.3  64
44.2  25
34.8  20
26.4  17
45.6  17
53.4  14
49.6  7
54.2  7
42.8  7

Cell and atoms:
```
data_LiTiH6O2F6
_chemical_formula_sum 'Li1 Ti1 H6 O2 F6'
_cell_length_a 6.7636
_cell_length_b 6.7636
_cell_length_c 5.4212
_cell_angle_alpha 90.00
_cell_angle_beta 90.00
_cell_angle_gamma 120.00
_symmetry_space_group_name_H-M 'P 1'
_symmetry_Int_Tables_number 1
_symmetry_space_group_name_Hall 'P 1'
loop_
_atom_site_label
_atom_site_fract_x
_atom_site_fract_y
_atom_site_fract_z
_atom_site_occupancy
Li1 0.0000 0.0000 0.0000 1
Ti1 0.0000 0.0000 0.5000 1
H1 0.2494 0.4988 0.7966 1
H2 0.2494 0.7506 0.7966 1
H3 0.4988 0.2494 0.2034 1
H4 0.5012 0.7506 0.7966 1
H5 0.7506 0.2494 0.2034 1
H6 0.7506 0.5012 0.2034 1
O1 0.3333 0.6667 0.8530 1
O2 0.6667 0.3333 0.1470 1
F1 0.1298 0.2597 0.7365 1
F2 0.1298 0.8702 0.7365 1
F3 0.2597 0.1298 0.2635 1
F4 0.7403 0.8702 0.7365 1
F5 0.8702 0.1298 0.2635 1
F6 0.8702 0.7403 0.2635 1
```

=====

Diffraction record for B12Pb6O25. The powder XRD pattern is computed, not measured: it uses a structure optimized by DFT (PBE) and Cu Kα.
No peak broadening, texture or thermal motion is included.

Peak list (10 most intense, 10° ≤ 2θ ≤ 90°, in order of falling intensity)
two_theta  Rel. int.
15.1  100
23.8  80
25.4  67
30.6  64
10.1  57
31.0  42
34.7  35
26.9  28
45.1  27
46.0  25

Cell and atoms:
```
data_B12Pb6O25
_chemical_formula_sum 'B12 Pb6 O25'
_cell_length_a 8.9307
_cell_length_b 8.9307
_cell_length_c 8.9307
_cell_angle_alpha 81.66
_cell_angle_beta 81.66
_cell_angle_gamma 81.66
_symmetry_space_group_name_H-M 'P 1'
_symmetry_Int_Tables_number 1
_symmetry_space_group_name_Hall 'P 1'
loop_
_atom_site_label
_atom_site_fract_x
_atom_site_fract_y
_atom_site_fract_z
_atom_site_occupancy
B1 0.0000 0.2293 0.7707 1
B2 0.0000 0.7707 0.2293 1
B3 0.1068 0.1068 0.5353 1
B4 0.1068 0.5353 0.1068 1
B5 0.2293 0.0000 0.7707 1
B6 0.2293 0.7707 0.0000 1
B7 0.4647 0.8932 0.8932 1
B8 0.5353 0.1068 0.1068 1
B9 0.7707 0.0000 0.2293 1
B10 0.7707 0.2293 0.0000 1
B11 0.8932 0.4647 0.8932 1
B12 0.8932 0.8932 0.4647 1
Pb1 0.0823 0.7045 0.7045 1
Pb2 0.2955 0.2955 0.9177 1
Pb3 0.2955 0.9177 0.2955 1
Pb4 0.7045 0.0823 0.7045 1
Pb5 0.7045 0.7045 0.0823 1
Pb6 0.9177 0.2955 0.2955 1
O1 0.0000 0.0000 0.0000 1
O2 0.0007 0.2103 0.6082 1
O3 0.0007 0.6082 0.2103 1
O4 0.1084 0.1084 0.3802 1
O5 0.1084 0.3802 0.1084 1
O6 0.1456 0.1456 0.8201 1
O7 0.1456 0.8201 0.1456 1
O8 0.1799 0.8544 0.8544 1
O9 0.2103 0.0007 0.6082 1
O10 0.2103 0.6082 0.0007 1
O11 0.3802 0.1084 0.1084 1
O12 0.3918 0.7897 0.9993 1
O13 0.3918 0.9993 0.7897 1
O14 0.6082 0.0007 0.2103 1
O15 0.6082 0.2103 0.0007 1
O16 0.6198 0.8916 0.8916 1
O17 0.7897 0.3918 0.9993 1
O18 0.7897 0.9993 0.3918 1
O19 0.8201 0.1456 0.1456 1
O20 0.8544 0.1799 0.8544 1
O21 0.8544 0.8544 0.1799 1
O22 0.8916 0.6198 0.8916 1
O23 0.8916 0.8916 0.6198 1
O24 0.9993 0.3918 0.7897 1
O25 0.9993 0.7897 0.3918 1
```

=====

Diffraction record for Li2Er3Cd5. The powder XRD pattern is computed, not measured: it uses a structure optimized by DFT (PBE) and Cu Kα.
No peak broadening, texture or thermal motion is included.

Peak list (10 most intense, 10° ≤ 2θ ≤ 90°, in order of falling intensity)
two_theta  Rel. int.
34.8  100
28.8  69
35.7  56
32.5  48
43.6  28
57.5  28
38.8  24
38.0  22
59.7  16
67.7  15

Cell and atoms:
```
data_Li2Er3Cd5
_chemical_formula_sum 'Li4 Er6 Cd10'
_cell_length_a 10.3825
_cell_length_b 10.3825
_cell_length_c 4.1557
_cell_angle_alpha 90.00
_cell_angle_beta 90.00
_cell_angle_gamma 90.00
_symmetry_space_group_name_H-M 'P 1'
_symmetry_Int_Tables_number 1
_symmetry_space_group_name_Hall 'P 1'
loop_
_atom_site_label
_atom_site_fract_x
_atom_site_fract_y
_atom_site_fract_z
_atom_site_occupancy
Li1 0.1154 0.3846 0.0000 1
Li2 0.3846 0.8846 0.0000 1
Li3 0.6154 0.1154 0.0000 1
Li4 0.8846 0.6154 0.0000 1
Er1 0.0000 0.0000 0.0000 1
Er2 0.1790 0.6790 0.0000 1
Er3 0.3210 0.1790 0.0000 1
Er4 0.5000 0.5000 0.0000 1
Er5 0.6790 0.8210 0.0000 1
Er6 0.8210 0.3210 0.0000 1
Cd1 0.0000 0.5000 0.5000 1
Cd2 0.0621 0.2154 0.5000 1
Cd3 0.2154 0.9379 0.5000 1
Cd4 0.2846 0.4379 0.5000 1
Cd5 0.4379 0.7154 0.5000 1
Cd6 0.5000 0.0000 0.5000 1
Cd7 0.5621 0.2846 0.5000 1
Cd8 0.7154 0.5621 0.5000 1
Cd9 0.7846 0.0621 0.5000 1
Cd10 0.9379 0.7846 0.5000 1
```

=====

Diffraction record for Ti2Be16Cr. The powder XRD pattern is computed, not measured: it uses a structure optimized by DFT (PBE) and Cu Kα.
No peak broadening, texture or thermal motion is included.

Peak list (10 most intense, 10° ≤ 2θ ≤ 90°, in order of falling intensity)
two_theta  Rel. int.
23.8  100
41.8  42
34.7  40
48.6  35
49.3  31
36.3  26
21.5  23
50.5  22
43.8  21
16.0  15

Cell and atoms:
```
data_Ti2Be16Cr
_chemical_formula_sum 'Ti2 Be16 Cr1'
_cell_length_a 5.6085
_cell_length_b 5.6085
_cell_length_c 5.6085
_cell_angle_alpha 83.79
_cell_angle_beta 83.79
_cell_angle_gamma 83.79
_symmetry_space_group_name_H-M 'P 1'
_symmetry_Int_Tables_number 1
_symmetry_space_group_name_Hall 'P 1'
loop_
_atom_site_label
_atom_site_fract_x
_atom_site_fract_y
_atom_site_fract_z
_atom_site_occupancy
Ti1 0.0000 0.0000 0.0000 1
Ti2 0.3217 0.3217 0.3217 1
Be1 0.0011 0.0011 0.4918 1
Be2 0.0011 0.4918 0.0011 1
Be3 0.1534 0.6550 0.6550 1
Be4 0.3061 0.3061 0.8113 1
Be5 0.3061 0.8113 0.3061 1
Be6 0.3572 0.6539 0.9481 1
Be7 0.3572 0.9481 0.6539 1
Be8 0.4918 0.0011 0.0011 1
Be9 0.6539 0.3572 0.9481 1
Be10 0.6539 0.9481 0.3572 1
Be11 0.6550 0.1534 0.6550 1
Be12 0.6550 0.6550 0.1534 1
Be13 0.7671 0.7671 0.7671 1
Be14 0.8113 0.3061 0.3061 1
Be15 0.9481 0.3572 0.6539 1
Be16 0.9481 0.6539 0.3572 1
Cr1 0.5595 0.5595 0.5595 1
```

=====

Diffraction record for HoTlPd5. The powder XRD pattern is computed, not measured: it uses a structure optimized by DFT (PBE) and Cu Kα.
No peak broadening, texture or thermal motion is included.

Peak list (10 most intense, 10° ≤ 2θ ≤ 90°, in order of falling intensity)
two_theta  Rel. int.
38.4  100
38.5  99
44.2  67
24.4  50
65.5  41
45.7  30
77.4  25
77.6  25
79.6  24
18.9  15

Cell and atoms:
```
data_HoTlPd5
_chemical_formula_sum 'Ho2 Tl2 Pd10'
_cell_length_a 5.8052
_cell_length_b 7.9404
_cell_length_c 5.7829
_cell_angle_alpha 90.00
_cell_angle_beta 90.00
_cell_angle_gamma 90.00
_symmetry_space_group_name_H-M 'P 1'
_symmetry_Int_Tables_number 1
_symmetry_space_group_name_Hall 'P 1'
loop_
_atom_site_label
_atom_site_fract_x
_atom_site_fract_y
_atom_site_fract_z
_atom_site_occupancy
Ho1 0.0000 0.0000 0.0000 1
Ho2 0.5000 0.5000 0.0000 1
Tl1 0.0000 0.5000 0.5000 1
Tl2 0.5000 0.0000 0.5000 1
Pd1 0.0000 0.5000 0.0000 1
Pd2 0.2500 0.2500 0.2539 1
Pd3 0.2500 0.2500 0.7461 1
Pd4 0.2500 0.7500 0.2539 1
Pd5 0.2500 0.7500 0.7461 1
Pd6 0.5000 0.0000 0.0000 1
Pd7 0.7500 0.2500 0.2539 1
Pd8 0.7500 0.2500 0.7461 1
Pd9 0.7500 0.7500 0.2539 1
Pd10 0.7500 0.7500 0.7461 1
```

=====

Diffraction record for SrNi3Sn3. The powder XRD pattern is computed, not measured: it uses a structure optimized by DFT (PBE) and Cu Kα.
No peak broadening, texture or thermal motion is included.

Peak list (10 most intense, 10° ≤ 2θ ≤ 90°, in order of falling intensity)
two_theta  Rel. int.
34.9  100
11.5  95
28.2  90
40.6  74
42.8  55
44.5  43
30.0  42
48.7  40
43.8  22
30.9  19

Cell and atoms:
```
data_SrNi3Sn3
_chemical_formula_sum 'Sr2 Ni6 Sn6'
_cell_length_a 8.6898
_cell_length_b 8.6898
_cell_length_c 8.6898
_cell_angle_alpha 46.98
_cell_angle_beta 46.98
_cell_angle_gamma 46.98
_symmetry_space_group_name_H-M 'P 1'
_symmetry_Int_Tables_number 1
_symmetry_space_group_name_Hall 'P 1'
loop_
_atom_site_label
_atom_site_fract_x
_atom_site_fract_y
_atom_site_fract_z
_atom_site_occupancy
Sr1 0.1558 0.1558 0.1558 1
Sr2 0.8442 0.8442 0.8442 1
Ni1 0.0328 0.2706 0.8222 1
Ni2 0.1778 0.9672 0.7294 1
Ni3 0.2706 0.8222 0.0328 1
Ni4 0.7294 0.1778 0.9672 1
Ni5 0.8222 0.0328 0.2706 1
Ni6 0.9672 0.7294 0.1778 1
Sn1 0.0845 0.6332 0.4718 1
Sn2 0.3668 0.5282 0.9155 1
Sn3 0.4718 0.0845 0.6332 1
Sn4 0.5282 0.9155 0.3668 1
Sn5 0.6332 0.4718 0.0845 1
Sn6 0.9155 0.3668 0.5282 1
```